Structure and calculated X-ray diffraction stick pattern of Cs4RbF (DFT lattice parameters and positions (PBE); CuKα).
Intensities are scaled so that the largest is 100.

Principal peaks in the range 5 to 70 degrees two-theta, by angle:
(1 2 1), 2θ = 20.6°, I = 100; (0 0 2), 2θ = 22.8°, I = 16; (3 1 0), 2θ = 24.3°, I = 31; (3 1 2), 2θ = 33.6°, I = 29; (4 3 1), 2θ = 40.6°, I = 28; (2 4 2), 2θ = 41.9°, I = 15

Crystal structure
Unit cell a=11.585 b=11.585 c=7.785 alpha=90.00 beta=90.00 gamma=90.00
Space group I-4 (No. 82)
Asymmetric unit:
1 Cs 0.083 0.182 0.287 (multiplicity 8)
2 Rb 0.000 0.500 0.750 (multiplicity 2)
3 F 0.000 0.000 0.500 (multiplicity 2)

Structure and calculated X-ray diffraction stick pattern of Li5TlBi3 (DFT lattice parameters and positions (PBE); CuKα).
Intensities are scaled so that the largest is 100.

Principal peaks in the range 5 to 70 degrees two-theta, by angle:
(0 0 2), 2θ = 21.5°, I = 100; (2 0 1), 2θ = 26.7°, I = 90; (2 1 0), 2θ = 27.3°, I = 33; (2 1 1), 2θ = 29.4°, I = 58; (2 1 2), 2θ = 35.0°, I = 38; (4 0 1), 2θ = 51.2°, I = 38

Crystal structure
Unit cell a=7.310 b=7.310 c=8.278 alpha=90.00 beta=90.00 gamma=90.00
Space group P4/mbm (No. 127)
Asymmetric unit:
1 Li 0.000 0.000 0.000 (multiplicity 2)
2 Li 0.220 0.280 0.290 (multiplicity 8)
3 Tl 0.000 0.500 0.500 (multiplicity 2)
4 Bi 0.000 0.000 0.500 (multiplicity 2)
5 Bi 0.144 0.644 0.000 (multiplicity 4)

Structure and calculated X-ray diffraction stick pattern of Dy4Ho (DFT lattice parameters and positions (PBE); CuKα).
Intensities are scaled so that the largest is 100.

Principal peaks in the range 5 to 70 degrees two-theta, by angle:
(1 1 1), 2θ = 31.0°, I = 88; (1 5 0), 2θ = 31.6°, I = 100; (2 0 0), 2θ = 33.2°, I = 45; (0 4 1), 2θ = 33.5°, I = 41; (2 4 1), 2θ = 47.9°, I = 31; (1 5 2), 2θ = 62.5°, I = 29

Crystal structure
Unit cell a=5.404 b=16.617 c=3.489 alpha=90.00 beta=90.00 gamma=90.00
Space group Cmmm (No. 65)
Asymmetric unit:
1 Dy 0.000 0.109 0.000 (multiplicity 4)
2 Dy 0.000 0.301 0.500 (multiplicity 4)
3 Ho 0.000 0.500 0.500 (multiplicity 2)

Structure and calculated X-ray diffraction stick pattern of Ac3Cd2In3 (DFT lattice parameters and positions (PBE); CuKα).
Intensities are scaled so that the largest is 100.

Principal peaks in the range 5 to 70 degrees two-theta, by angle:
(1 1 4), 2θ = 28.7°, I = 100; (1 3 1), 2θ = 29.0°, I = 54; (0 4 0), 2θ = 29.9°, I = 24; (1 3 3), 2θ = 32.8°, I = 45; (2 0 0), 2θ = 35.3°, I = 46; (1 3 4), 2θ = 35.8°, I = 37

Crystal structure
Unit cell a=5.081 b=11.967 c=16.665 alpha=90.00 beta=90.00 gamma=90.00
Space group Cmcm (No. 63)
Asymmetric unit:
1 Ac 0.000 0.092 0.109 (multiplicity 8)
2 Ac 0.000 0.366 0.250 (multiplicity 4)
3 Cd 0.000 0.206 0.598 (multiplicity 8)
4 In 0.000 0.342 0.750 (multiplicity 4)
5 In 0.000 0.388 0.039 (multiplicity 8)

Structure and calculated X-ray diffraction stick pattern of VMo7 (DFT lattice parameters and positions (PBE); CuKα).
Intensities are scaled so that the largest is 100.

Principal peaks in the range 5 to 70 degrees two-theta, by angle:
(1 0 1), 2θ = 14.1°, I = 1; (1 1 0), 2θ = 20.0°, I = 1; (2 1 1), 2θ = 31.8°, I = 1; (3 0 0), 2θ = 34.9°, I = 1; (2 2 0), 2θ = 40.5°, I = 100; (4 0 4), 2θ = 58.7°, I = 16

Crystal structure
Unit cell a=8.8945 b=8.8945 c=10.9153 alpha=90.00 beta=90.00 gamma=120.00
Space group R-3m (No. 166, hexagonal axes)
Asymmetric unit:
1 V 0.0000 0.0000 0.1248 (multiplicity 6)
2 Mo 0.0000 0.0000 0.3742 (multiplicity 6)
3 Mo 0.0022 0.5011 0.6246 (multiplicity 18)
4 Mo 0.0019 0.5009 0.8747 (multiplicity 18)